No. 1
Structure and simulated PXRD pattern of Sr5Cr3O12F (a cell relaxed with GGA+U; Cu Kα (λ = 1.5418 Å)).
Peak positions follow from Bragg's law for the DFT cell and can differ from measured ones.

Top 6 peaks for 10 to 90 degrees two-theta, in order of rising 2θ:
- 26.81 deg, I 226
- 29.50 deg, I 1000
- 30.10 deg, I 683
- 30.48 deg, I 407
- 43.36 deg, I 353
- 46.15 deg, I 318

Cell lengths 10.160, 10.160, 7.319 Å; angles 90.00, 90.00, 120.00 degrees
Sites, in units of the cell vectors:
1 Sr 0.001 0.761 0.250
2 Sr 0.239 0.240 0.250
3 Sr 0.240 0.001 0.750
4 Sr 0.333 0.667 0.001
5 Sr 0.333 0.667 0.499
6 Sr 0.667 0.333 0.501
7 Sr 0.667 0.333 0.999
8 Sr 0.760 0.999 0.250
9 Sr 0.761 0.760 0.750
10 Sr 0.999 0.239 0.750
11 Cr 0.030 0.625 0.750
12 Cr 0.375 0.405 0.750
13 Cr 0.405 0.030 0.250
14 Cr 0.595 0.970 0.750
15 Cr 0.625 0.595 0.250
16 Cr 0.970 0.375 0.250
17 O 0.092 0.744 0.563
18 O 0.092 0.744 0.937
19 O 0.130 0.528 0.750
20 O 0.165 0.482 0.250
21 O 0.256 0.348 0.563
22 O 0.256 0.348 0.937
23 O 0.317 0.835 0.250
24 O 0.348 0.092 0.063
25 O 0.348 0.092 0.437
26 O 0.398 0.870 0.750
27 O 0.472 0.602 0.750
28 O 0.482 0.317 0.750
29 O 0.518 0.683 0.250
30 O 0.528 0.398 0.250
31 O 0.602 0.130 0.250
32 O 0.652 0.908 0.563
33 O 0.652 0.908 0.937
34 O 0.683 0.165 0.750
35 O 0.744 0.652 0.063
36 O 0.744 0.652 0.437
37 O 0.835 0.518 0.750
38 O 0.870 0.472 0.250
39 O 0.908 0.256 0.063
40 O 0.908 0.256 0.437
41 F 0.000 0.000 0.000
42 F 0.000 0.000 0.500



No. 2
Structure and simulated PXRD pattern of PuCrO3 (a cell relaxed with GGA+U; Cu Kα (λ = 1.5418 Å)).
Peak positions follow from Bragg's law for the DFT cell and can differ from measured ones.

Top 6 peaks for 10 to 90 degrees two-theta, in order of rising 2θ:
- 22.71 deg, I 668
- 31.88 deg, I 216
- 32.35 deg, I 1000
- 32.73 deg, I 253
- 46.34 deg, I 200
- 58.18 deg, I 223

Cell lengths 5.615, 7.817, 5.473 Å; angles 90.00, 90.00, 90.00 degrees
Sites, in units of the cell vectors:
1 Pu 0.047 0.250 0.009
2 Pu 0.453 0.750 0.509
3 Pu 0.547 0.250 0.491
4 Pu 0.953 0.750 0.991
5 Cr 0.000 0.000 0.500
6 Cr 0.000 0.500 0.500
7 Cr 0.500 0.000 0.000
8 Cr 0.500 0.500 0.000
9 O 0.033 0.750 0.405
10 O 0.197 0.547 0.804
11 O 0.197 0.953 0.804
12 O 0.303 0.047 0.304
13 O 0.303 0.453 0.304
14 O 0.467 0.250 0.905
15 O 0.533 0.750 0.095
16 O 0.697 0.547 0.696
17 O 0.697 0.953 0.696
18 O 0.803 0.047 0.196
19 O 0.803 0.453 0.196
20 O 0.967 0.250 0.595



No. 3
Structure and simulated PXRD pattern of Li2Co3Si2O8 (a cell relaxed with GGA+U; Cu Kα (λ = 1.5418 Å)).
Peak positions follow from Bragg's law for the DFT cell and can differ from measured ones.

Top 6 peaks for 10 to 90 degrees two-theta, in order of rising 2θ:
- 21.46 deg, I 567
- 24.93 deg, I 467
- 35.18 deg, I 546
- 35.30 deg, I 522
- 35.60 deg, I 1000
- 36.20 deg, I 373

Cell lengths 4.963, 8.854, 13.301 Å; angles 108.29, 99.76, 90.75 degrees
Sites, in units of the cell vectors:
1 Li 0.000 0.000 0.000
2 Li 0.040 0.746 0.087
3 Li 0.165 0.864 0.325
4 Li 0.282 0.990 0.591
5 Li 0.826 0.182 0.708
6 Li 0.941 0.276 0.923
7 Co 0.162 0.179 0.270
8 Co 0.240 0.569 0.420
9 Co 0.413 0.362 0.772
10 Co 0.475 0.250 0.071
11 Co 0.490 0.773 0.920
12 Co 0.559 0.658 0.228
13 Co 0.770 0.102 0.417
14 Co 0.829 0.856 0.724
15 Co 0.843 0.509 0.574
16 Si 0.040 0.450 0.170
17 Si 0.325 0.287 0.518
18 Si 0.383 0.058 0.829
19 Si 0.584 0.967 0.166
20 Si 0.744 0.797 0.481
21 Si 0.943 0.579 0.831
22 O 0.046 0.396 0.808
23 O 0.085 0.401 0.282
24 O 0.117 0.717 0.937
25 O 0.129 0.012 0.724
26 O 0.236 0.117 0.936
27 O 0.340 0.462 0.134
28 O 0.374 0.146 0.407
29 O 0.377 0.107 0.152
30 O 0.388 0.840 0.193
31 O 0.446 0.461 0.519
32 O 0.465 0.237 0.622
33 O 0.479 0.722 0.379
34 O 0.579 0.909 0.834
35 O 0.600 0.196 0.823
36 O 0.609 0.873 0.588
37 O 0.625 0.565 0.851
38 O 0.729 0.894 0.060
39 O 0.845 0.040 0.267
40 O 0.857 0.306 0.071
41 O 0.929 0.630 0.195
42 O 0.941 0.655 0.496
43 O 0.944 0.925 0.455
44 O 0.947 0.640 0.725
45 O 0.990 0.298 0.511



No. 4
Structure and simulated PXRD pattern of MgV8Ge4O16F8 (a cell relaxed with GGA+U; Cu Kα (λ = 1.5418 Å)).
Peak positions follow from Bragg's law for the DFT cell and can differ from measured ones.

Top 6 peaks for 10 to 90 degrees two-theta, in order of rising 2θ:
- 22.09 deg, I 558
- 25.39 deg, I 1000
- 27.44 deg, I 583
- 27.94 deg, I 663
- 34.56 deg, I 526
- 34.74 deg, I 484

Cell lengths 5.106, 9.201, 9.655 Å; angles 90.29, 90.05, 91.13 degrees
Sites, in units of the cell vectors:
1 Mg 0.000 0.000 0.000
2 V 0.013 0.961 0.708
3 V 0.015 0.632 0.731
4 V 0.209 0.137 0.464
5 V 0.214 0.468 0.470
6 V 0.510 0.145 0.965
7 V 0.517 0.457 0.965
8 V 0.693 0.963 0.239
9 V 0.727 0.634 0.233
10 Ge 0.010 0.309 0.165
11 Ge 0.238 0.773 0.039
12 Ge 0.503 0.797 0.539
13 Ge 0.719 0.300 0.652
14 O 0.067 0.304 0.345
15 O 0.147 0.802 0.859
16 O 0.309 0.306 0.072
17 O 0.315 0.644 0.598
18 O 0.327 0.957 0.587
19 O 0.370 0.952 0.080
20 O 0.408 0.301 0.564
21 O 0.416 0.626 0.090
22 O 0.565 0.788 0.360
23 O 0.660 0.304 0.833
24 O 0.813 0.797 0.631
25 O 0.823 0.462 0.115
26 O 0.831 0.147 0.110
27 O 0.906 0.143 0.602
28 O 0.912 0.456 0.604
29 O 0.916 0.797 0.117
30 F 0.025 0.988 0.356
31 F 0.044 0.613 0.353
32 F 0.177 0.104 0.845
33 F 0.195 0.493 0.848
34 F 0.511 0.119 0.347
35 F 0.530 0.494 0.353
36 F 0.705 0.607 0.850
37 F 0.725 0.989 0.855



No. 5
Structure and simulated PXRD pattern of MgNiGe2O6 (a cell relaxed with GGA+U; Cu Kα (λ = 1.5418 Å)).
Peak positions follow from Bragg's law for the DFT cell and can differ from measured ones.

Top 6 peaks for 10 to 90 degrees two-theta, in order of rising 2θ:
- 26.35 deg, I 312
- 29.04 deg, I 1000
- 29.80 deg, I 906
- 34.92 deg, I 454
- 35.58 deg, I 457
- 55.11 deg, I 280

Cell lengths 9.800, 8.986, 5.412 Å; angles 90.00, 103.31, 90.00 degrees
Sites, in units of the cell vectors:
1 Mg 0.246 0.010 0.441
2 Mg 0.246 0.490 0.941
3 Mg 0.754 0.510 0.059
4 Mg 0.754 0.990 0.559
5 Ni 0.245 0.657 0.451
6 Ni 0.245 0.843 0.951
7 Ni 0.755 0.157 0.049
8 Ni 0.755 0.343 0.549
9 Ge 0.056 0.160 0.827
10 Ge 0.056 0.340 0.327
11 Ge 0.460 0.155 0.231
12 Ge 0.460 0.345 0.731
13 Ge 0.540 0.655 0.269
14 Ge 0.540 0.845 0.769
15 Ge 0.944 0.660 0.673
16 Ge 0.944 0.840 0.173
17 O 0.111 0.177 0.172
18 O 0.111 0.323 0.672
19 O 0.130 0.662 0.737
20 O 0.130 0.838 0.237
21 O 0.140 0.012 0.724
22 O 0.140 0.488 0.224
23 O 0.356 0.659 0.173
24 O 0.356 0.841 0.673
25 O 0.376 0.515 0.687
26 O 0.376 0.985 0.187
27 O 0.386 0.210 0.496
28 O 0.386 0.290 0.996
29 O 0.614 0.710 0.004
30 O 0.614 0.790 0.504
31 O 0.624 0.015 0.813
32 O 0.624 0.485 0.313
33 O 0.644 0.159 0.327
34 O 0.644 0.341 0.827
35 O 0.860 0.512 0.776
36 O 0.860 0.988 0.276
37 O 0.870 0.162 0.763
38 O 0.870 0.338 0.263
39 O 0.889 0.677 0.328
40 O 0.889 0.823 0.828



No. 6
Structure and simulated PXRD pattern of NaNiPO11 (a cell relaxed with GGA+U; Cu Kα (λ = 1.5418 Å)).
Peak positions follow from Bragg's law for the DFT cell and can differ from measured ones.

Top 6 peaks for 10 to 90 degrees two-theta, in order of rising 2θ:
- 16.52 deg, I 1000
- 22.87 deg, I 218
- 26.81 deg, I 261
- 27.81 deg, I 277
- 32.52 deg, I 326
- 55.24 deg, I 202

Cell lengths 6.417, 6.417, 9.779 Å; angles 90.00, 90.00, 90.00 degrees
Sites, in units of the cell vectors:
1 Na 0.000 0.000 0.000
2 Na 0.000 0.000 0.500
3 Ni 0.000 0.500 0.000
4 Ni 0.500 0.000 0.500
5 P 0.500 0.500 0.250
6 P 0.500 0.500 0.750
7 O 0.000 0.000 0.250
8 O 0.000 0.000 0.750
9 O 0.000 0.500 0.187
10 O 0.000 0.500 0.813
11 O 0.198 0.295 0.000
12 O 0.198 0.705 0.000
13 O 0.295 0.198 0.500
14 O 0.295 0.802 0.500
15 O 0.298 0.500 0.340
16 O 0.298 0.500 0.660
17 O 0.500 0.000 0.313
18 O 0.500 0.000 0.687
19 O 0.500 0.298 0.160
20 O 0.500 0.298 0.840
21 O 0.500 0.702 0.160
22 O 0.500 0.702 0.840
23 O 0.702 0.500 0.340
24 O 0.702 0.500 0.660
25 O 0.705 0.198 0.500
26 O 0.705 0.802 0.500
27 O 0.802 0.295 0.000
28 O 0.802 0.705 0.000



No. 7
Structure and simulated PXRD pattern of CsK2MoF6 (a cell relaxed with GGA+U; Cu Kα (λ = 1.5418 Å)).
Peak positions follow from Bragg's law for the DFT cell and can differ from measured ones.

Top 6 peaks for 10 to 90 degrees two-theta, in order of rising 2θ:
- 18.32 deg, I 540
- 26.02 deg, I 1000
- 37.13 deg, I 421
- 41.70 deg, I 221
- 45.90 deg, I 368
- 53.52 deg, I 247

Cell lengths 6.849, 6.849, 6.849 Å; angles 60.00, 60.00, 60.00 degrees
Sites, in units of the cell vectors:
1 Cs 0.000 0.000 0.000
2 K 0.250 0.250 0.250
3 K 0.750 0.750 0.750
4 Mo 0.500 0.500 0.500
5 F 0.286 0.286 0.714
6 F 0.286 0.714 0.286
7 F 0.286 0.714 0.714
8 F 0.714 0.286 0.286
9 F 0.714 0.286 0.714
10 F 0.714 0.714 0.286